Structure and computed powder X-ray diffraction pattern of AcP3Ru5 (DFT lattice parameters and positions (GGA-PBE); Cu Ka).
Kinematic intensities with the Lorentz-polarization factor, no thermal factor.

Principal peaks in the range 2θ from 5° to 70°, low angle first:
| d (Å) | intensity |
| --- | --- |
| 3.379 | 54 |
| 2.841 | 55 |
| 2.766 | 32 |
| 2.751 | 100 |
| 2.573 | 60 |
| 2.359 | 70 |
| 2.086 | 35 |
| 1.971 | 65 |
| 1.921 | 30 |
| 1.647 | 29 |

Structural model:
a = 6.4565 Å, b = 6.4565 Å, c = 12.1323 Å
α = 90.00°, β = 90.00°, γ = 144.47°
Positions (direct):
Ac 0.1590 0.8410 0.7500
Ac 0.8410 0.1590 0.2500
P 0.1264 0.8736 0.2500
P 0.3857 0.6143 0.0389
P 0.3857 0.6143 0.4611
P 0.6143 0.3857 0.5389
P 0.6143 0.3857 0.9611
P 0.8736 0.1264 0.7500
Ru 0.0000 0.0000 0.0000
Ru 0.0000 0.0000 0.5000
Ru 0.2046 0.7954 0.0718
Ru 0.2046 0.7954 0.4282
Ru 0.4434 0.5566 0.6468
Ru 0.4434 0.5566 0.8532
Ru 0.5566 0.4434 0.1468
Ru 0.5566 0.4434 0.3532
Ru 0.7954 0.2046 0.5718
Ru 0.7954 0.2046 0.9282